For Hg2Bi2Se5, a cell relaxed with PBE gives the simulated X-ray diffraction stick pattern in this record (copper Kα).

```
data_Hg2Bi2Se5
_chemical_formula_sum 'Hg6 Bi6 Se15'
_symmetry_space_group_name_H-M 'R 3 m'
_symmetry_Int_Tables_number 160
_symmetry_space_group_name_Hall 'R 3 -2"'
_cell_length_a 4.4434
_cell_length_b 4.4434
_cell_length_c 51.5275
_cell_angle_alpha 90.00
_cell_angle_beta 90.00
_cell_angle_gamma 120.00
loop_
_atom_site_label
_atom_site_type_symbol
_atom_site_fract_x
_atom_site_fract_y
_atom_site_fract_z
_atom_site_occupancy
Hg1 Hg 0.0000 0.0000 0.0000 1
Hg2 Hg 0.0000 0.0000 0.1680 1
Bi1 Bi 0.0000 0.0000 0.5828 1
Bi2 Bi 0.0000 0.0000 0.7581 1
Se1 Se 0.0000 0.0000 0.0681 1
Se2 Se 0.0000 0.0000 0.2188 1
Se3 Se 0.0000 0.0000 0.6834 1
Se4 Se 0.0000 0.0000 0.8145 1
Se5 Se 0.0000 0.0000 0.9450 1
```

The 8 most intense peaks (2θ = 10–90°), in order of rising 2θ:
hkl, d_spacing, 2θ (°), I (rel.)
0 0 12, 4.294, 20.69, 54
1 0 1, 3.837, 23.18, 28
0 1 2, 3.806, 23.37, 31
0 1 5, 3.605, 24.70, 83
1 0 10, 3.083, 28.96, 26
0 1 17, 2.381, 37.78, 52
1 1 0, 2.221, 40.63, 100
1 1 12, 1.973, 45.99, 42